For Li4Ti3Fe5O16, a GGA+U-relaxed structure gives the calculated powder diffractogram in this record (a wavelength of 1.5418 Å).
Kinematic intensities with the Lorentz-polarization factor, no thermal factor.

Principal peaks in the range 2θ from 10° to 90°, sorted by position:
(hkl)  two_theta  I (rel.)
0 0 2  18.4  100
1 -1 1  19.6  88
1 0 1  19.7  92
0 1 3  33.0  34
1 1 -2  35.4  34
-1 2 2  35.7  69
2 0 1  36.3  67
2 0 -3  45.2  35
0 2 3  45.4  49
2 -4 0  62.6  46

Lattice parameters (Å, degrees): 5.9150 5.9314 9.6287 90.44 90.05 119.90
Space group P1 (No. 1)
One atom of each set of equivalent atoms:
Li 0.0000 0.0000 0.0000 x1
Li 0.0148 0.0007 0.5025 x1
Li 0.3453 0.6544 0.8988 x1
Li 0.6657 0.3241 0.4037 x1
Ti 0.1495 0.3411 0.2292 x1
Ti 0.2043 0.8596 0.2120 x1
Ti 0.3557 0.1638 0.7243 x1
Fe 0.3433 0.6669 0.4985 x1
Fe 0.6678 0.8061 0.2214 x1
Fe 0.6861 0.3344 0.9942 x1
Fe 0.8421 0.6593 0.7186 x1
Fe 0.8437 0.1682 0.7175 x1
O 0.0109 0.0071 0.8136 x1
O 0.0165 0.9982 0.3157 x1
O 0.0357 0.5115 0.3446 x1
O 0.1730 0.3256 0.6101 x1
O 0.1822 0.8416 0.6069 x1
O 0.3283 0.6491 0.1110 x1
O 0.3410 0.1575 0.1034 x1
O 0.4760 0.5040 0.3491 x1
O 0.4805 0.9546 0.3428 x1
O 0.5266 0.4695 0.8454 x1
O 0.5307 0.0296 0.8412 x1
O 0.6728 0.3216 0.6100 x1
O 0.6899 0.8500 0.6061 x1
O 0.8463 0.1611 0.1089 x1
O 0.8596 0.6721 0.1032 x1
O 0.9729 0.4625 0.8395 x1